# 1
Diffraction record for LaPrPF2. The XRD peak list is simulated, not measured: it uses the GGA-PBE geometry in OQMD and a wavelength of 1.5418 Å.

Cell and atoms:
```
data_LaPrPF2
_cell_length_a 4.0477
_cell_length_b 4.0477
_cell_length_c 6.9997
_cell_angle_alpha 90.00
_cell_angle_beta 90.00
_cell_angle_gamma 120.00
_symmetry_space_group_name_H-M 'P 3 m 1'
_symmetry_Int_Tables_number 156
loop_
_symmetry_equiv_pos_as_xyz
'x,y,z'
'-y,x-y,z'
'-x+y,-x,z'
'-y,-x,z'
'-x+y,y,z'
'x,x-y,z'
loop_
_atom_site_label
_atom_site_type_symbol
_atom_site_fract_x
_atom_site_fract_y
_atom_site_fract_z
La1 La 0.0000 0.0000 0.0000
Pr1 Pr 0.3333 0.6667 0.5218
P1 P 0.6667 0.3333 0.7577
F1 F 0.0000 0.0000 0.3623
F2 F 0.3333 0.6667 0.1561
```

Most intense lines, 5° ≤ 2θ ≤ 70°, by angle:
d = 7.000 Å, I = 1
d = 3.502 Å, I = 46
d = 3.134 Å, I = 100
d = 2.477 Å, I = 33
d = 2.024 Å, I = 35
d = 1.942 Å, I = 38
d = 1.752 Å, I = 29
d = 1.700 Å, I = 17
d = 1.567 Å, I = 11
d = 1.401 Å, I = 13

***

# 2
Diffraction record for La2PrF8. The XRD peak list is simulated, not measured: it uses the GGA-PBE geometry in OQMD and a wavelength of 1.5418 Å.

Cell and atoms:
```
data_La2PrF8
_cell_length_a 5.194
_cell_length_b 5.194
_cell_length_c 12.122
_cell_angle_alpha 90.00
_cell_angle_beta 90.00
_cell_angle_gamma 90.00
_symmetry_space_group_name_H-M 'I -4'
_symmetry_Int_Tables_number 82
loop_
_symmetry_equiv_pos_as_xyz
'x,y,z'
'y,-x,-z'
'-x,-y,z'
'-y,x,-z'
'x+1/2,y+1/2,z+1/2'
'y+1/2,-x+1/2,-z+1/2'
'-x+1/2,-y+1/2,z+1/2'
'-y+1/2,x+1/2,-z+1/2'
loop_
_atom_site_label
_atom_site_type_symbol
_atom_site_fract_x
_atom_site_fract_y
_atom_site_fract_z
La1 La 0.000 0.000 0.173
Pr1 Pr 0.000 0.000 0.500
F1 F 0.093 0.248 0.335
F2 F 0.129 0.707 0.952
```

Most intense lines, 5° ≤ 2θ ≤ 70°, by angle:
d = 3.673 Å, I = 85
d = 3.189 Å, I = 100
d = 2.597 Å, I = 27
d = 2.014 Å, I = 84
d = 1.836 Å, I = 12
d = 1.770 Å, I = 23
d = 1.643 Å, I = 21
d = 1.595 Å, I = 15
d = 1.591 Å, I = 17
d = 1.357 Å, I = 18

***

# 3
Diffraction record for LaTbS2F2. The XRD peak list is simulated, not measured: it uses the GGA-PBE geometry in OQMD and a wavelength of 1.5418 Å.

Cell and atoms:
```
data_LaTbS2F2
_cell_length_a 3.882
_cell_length_b 3.882
_cell_length_c 6.900
_cell_angle_alpha 90.00
_cell_angle_beta 90.00
_cell_angle_gamma 90.00
_symmetry_space_group_name_H-M 'P 4 m m'
_symmetry_Int_Tables_number 99
loop_
_symmetry_equiv_pos_as_xyz
'x,y,z'
'-y,x,z'
'-x,-y,z'
'y,-x,z'
'-x,y,z'
'y,x,z'
'x,-y,z'
'-y,-x,z'
loop_
_atom_site_label
_atom_site_type_symbol
_atom_site_fract_x
_atom_site_fract_y
_atom_site_fract_z
La1 La 0.000 0.000 0.000
Tb1 Tb 0.500 0.500 0.461
S1 S 0.000 0.000 0.577
S2 S 0.500 0.500 0.865
F1 F 0.000 0.500 0.238
```

Most intense lines, 5° ≤ 2θ ≤ 70°, by angle:
d = 3.450 Å, I = 32
d = 3.384 Å, I = 100
d = 2.745 Å, I = 53
d = 2.579 Å, I = 16
d = 2.148 Å, I = 58
d = 1.979 Å, I = 36
d = 1.941 Å, I = 29
d = 1.692 Å, I = 17
d = 1.684 Å, I = 28
d = 1.386 Å, I = 22

***

# 4
Diffraction record for La2TaF8. The XRD peak list is simulated, not measured: it uses the GGA-PBE geometry in OQMD and a wavelength of 1.5418 Å.

Cell and atoms:
```
data_La2TaF8
_cell_length_a 5.110
_cell_length_b 5.110
_cell_length_c 11.645
_cell_angle_alpha 90.00
_cell_angle_beta 90.00
_cell_angle_gamma 90.00
_symmetry_space_group_name_H-M 'I -4'
_symmetry_Int_Tables_number 82
loop_
_symmetry_equiv_pos_as_xyz
'x,y,z'
'y,-x,-z'
'-x,-y,z'
'-y,x,-z'
'x+1/2,y+1/2,z+1/2'
'y+1/2,-x+1/2,-z+1/2'
'-x+1/2,-y+1/2,z+1/2'
'-y+1/2,x+1/2,-z+1/2'
loop_
_atom_site_label
_atom_site_type_symbol
_atom_site_fract_x
_atom_site_fract_y
_atom_site_fract_z
La1 La 0.000 0.000 0.176
Ta1 Ta 0.000 0.000 0.500
F1 F 0.099 0.253 0.345
F2 F 0.165 0.694 0.948
```

Most intense lines, 5° ≤ 2θ ≤ 70°, by angle:
d = 3.613 Å, I = 83
d = 3.091 Å, I = 100
d = 2.555 Å, I = 25
d = 1.969 Å, I = 76
d = 1.941 Å, I = 9
d = 1.807 Å, I = 13
d = 1.710 Å, I = 21
d = 1.616 Å, I = 20
d = 1.560 Å, I = 16
d = 1.545 Å, I = 14

***

# 5
Diffraction record for LaZn4F3. The XRD peak list is simulated, not measured: it uses the GGA-PBE geometry in OQMD and a wavelength of 1.5418 Å.

Cell and atoms:
```
data_LaZn4F3
_cell_length_a 5.499
_cell_length_b 5.499
_cell_length_c 5.499
_cell_angle_alpha 90.00
_cell_angle_beta 90.00
_cell_angle_gamma 90.00
_symmetry_space_group_name_H-M 'P m -3 m'
_symmetry_Int_Tables_number 221
_symmetry_space_group_name_Hall '-P 4 2 3'
loop_
_atom_site_label
_atom_site_type_symbol
_atom_site_fract_x
_atom_site_fract_y
_atom_site_fract_z
La1 La 0.000 0.000 0.000
Zn1 Zn 0.000 0.000 0.500
Zn2 Zn 0.500 0.500 0.500
F1 F 0.000 0.500 0.500
```

Most intense lines, 5° ≤ 2θ ≤ 70°, by angle:
d = 5.499 Å, I = 32
d = 3.888 Å, I = 28
d = 2.750 Å, I = 100
d = 2.459 Å, I = 17
d = 2.245 Å, I = 13
d = 1.944 Å, I = 70
d = 1.833 Å, I = 9
d = 1.587 Å, I = 23
d = 1.470 Å, I = 7
d = 1.375 Å, I = 10

***

# 6
Diffraction record for La2ZrF8. The XRD peak list is simulated, not measured: it uses the GGA-PBE geometry in OQMD and a wavelength of 1.5418 Å.

Cell and atoms:
```
data_La2ZrF8
_cell_length_a 5.092
_cell_length_b 5.092
_cell_length_c 11.803
_cell_angle_alpha 90.00
_cell_angle_beta 90.00
_cell_angle_gamma 90.00
_symmetry_space_group_name_H-M 'I -4'
_symmetry_Int_Tables_number 82
loop_
_symmetry_equiv_pos_as_xyz
'x,y,z'
'y,-x,-z'
'-x,-y,z'
'-y,x,-z'
'x+1/2,y+1/2,z+1/2'
'y+1/2,-x+1/2,-z+1/2'
'-x+1/2,-y+1/2,z+1/2'
'-y+1/2,x+1/2,-z+1/2'
loop_
_atom_site_label
_atom_site_type_symbol
_atom_site_fract_x
_atom_site_fract_y
_atom_site_fract_z
La1 La 0.000 0.000 0.170
Zr1 Zr 0.000 0.000 0.500
F1 F 0.082 0.240 0.342
F2 F 0.152 0.699 0.957
```

Most intense lines, 5° ≤ 2θ ≤ 70°, by angle:
d = 3.600 Å, I = 90
d = 3.113 Å, I = 100
d = 2.546 Å, I = 26
d = 2.338 Å, I = 5
d = 2.236 Å, I = 6
d = 1.970 Å, I = 98
d = 1.800 Å, I = 12
d = 1.726 Å, I = 24
d = 1.610 Å, I = 20
d = 1.558 Å, I = 32

***

# 7
Diffraction record for LaZr3F15. The XRD peak list is simulated, not measured: it uses the GGA-PBE geometry in OQMD and a wavelength of 1.5418 Å.

Cell and atoms:
```
data_LaZr3F15
_cell_length_a 12.1745
_cell_length_b 12.1745
_cell_length_c 5.9032
_cell_angle_alpha 90.00
_cell_angle_beta 90.00
_cell_angle_gamma 120.00
_symmetry_space_group_name_H-M 'R 3 m'
_symmetry_Int_Tables_number 160
_symmetry_space_group_name_Hall 'R 3 -2"'
loop_
_atom_site_label
_atom_site_type_symbol
_atom_site_fract_x
_atom_site_fract_y
_atom_site_fract_z
La1 La 0.0000 0.0000 0.0000
Zr1 Zr 0.1851 0.3703 0.1817
F1 F 0.0414 0.4164 0.0965
F2 F 0.1035 0.5518 0.6228
F3 F 0.1380 0.0690 0.6893
F4 F 0.1795 0.0898 0.2334
```

Most intense lines, 5° ≤ 2θ ≤ 70°, by angle:
d = 3.932 Å, I = 100
d = 3.303 Å, I = 32
d = 3.044 Å, I = 36
d = 2.077 Å, I = 17
d = 1.986 Å, I = 16
d = 1.966 Å, I = 14
d = 1.888 Å, I = 19
d = 1.871 Å, I = 31
d = 1.717 Å, I = 14
d = 1.663 Å, I = 11

***

# 8
Diffraction record for Na2LiZnF6. The XRD peak list is simulated, not measured: it uses the GGA-PBE geometry in OQMD and a wavelength of 1.5418 Å.

Cell and atoms:
```
data_Na2LiZnF6
_cell_length_a 5.340
_cell_length_b 5.340
_cell_length_c 7.568
_cell_angle_alpha 90.00
_cell_angle_beta 90.00
_cell_angle_gamma 90.00
_symmetry_space_group_name_H-M 'I 4/m'
_symmetry_Int_Tables_number 87
_symmetry_space_group_name_Hall '-I 4'
loop_
_atom_site_label
_atom_site_type_symbol
_atom_site_fract_x
_atom_site_fract_y
_atom_site_fract_z
Na1 Na 0.000 0.500 0.250
Li1 Li 0.000 0.000 0.000
Zn1 Zn 0.000 0.000 0.500
F1 F 0.000 0.000 0.248
F2 F 0.244 0.251 0.000
```

Most intense lines, 5° ≤ 2θ ≤ 70°, by angle:
d = 4.363 Å, I = 100
d = 3.779 Å, I = 61
d = 2.672 Å, I = 76
d = 2.279 Å, I = 59
d = 2.182 Å, I = 28
d = 1.892 Å, I = 33
d = 1.888 Å, I = 66
d = 1.734 Å, I = 26
d = 1.690 Å, I = 20
d = 1.543 Å, I = 30

***

# 9
Diffraction record for LiTmSO4F. The XRD peak list is simulated, not measured: it uses the GGA-PBE geometry in OQMD and a wavelength of 1.5418 Å.

Cell and atoms:
```
data_LiTmSO4F
_cell_length_a 5.185
_cell_length_b 5.496
_cell_length_c 7.391
_cell_angle_alpha 69.82
_cell_angle_beta 74.58
_cell_angle_gamma 87.27
_symmetry_space_group_name_H-M 'P -1'
_symmetry_Int_Tables_number 2
loop_
_symmetry_equiv_pos_as_xyz
'x,y,z'
'-x,-y,-z'
loop_
_atom_site_label
_atom_site_type_symbol
_atom_site_fract_x
_atom_site_fract_y
_atom_site_fract_z
Li1 Li 0.014 0.107 0.200
Tm1 Tm 0.000 0.500 0.500
Tm2 Tm 0.500 0.500 0.000
S1 S 0.452 0.154 0.752
O1 O 0.234 0.876 0.363
O2 O 0.241 0.258 0.920
O3 O 0.331 0.264 0.577
O4 O 0.350 0.867 0.840
F1 F 0.129 0.416 0.230
```

Most intense lines, 5° ≤ 2θ ≤ 70°, by angle:
d = 5.152 Å, I = 100
d = 4.635 Å, I = 96
d = 3.836 Å, I = 50
d = 3.571 Å, I = 66
d = 3.389 Å, I = 85
d = 3.155 Å, I = 75
d = 2.673 Å, I = 31
d = 2.498 Å, I = 33
d = 2.464 Å, I = 38
d = 2.288 Å, I = 40

***

# 10
Diffraction record for LiZnSO4F. The XRD peak list is simulated, not measured: it uses the GGA-PBE geometry in OQMD and a wavelength of 1.5418 Å.

Cell and atoms:
```
data_LiZnSO4F
_cell_length_a 7.346
_cell_length_b 6.291
_cell_length_c 7.371
_cell_angle_alpha 90.00
_cell_angle_beta 90.00
_cell_angle_gamma 90.00
_symmetry_space_group_name_H-M 'P n m a'
_symmetry_Int_Tables_number 62
loop_
_symmetry_equiv_pos_as_xyz
'x,y,z'
'-x,-y,-z'
'-x+1/2,-y,z+1/2'
'x+1/2,y,-z+1/2'
'x+1/2,-y+1/2,-z+1/2'
'-x+1/2,y+1/2,z+1/2'
'-x,y+1/2,-z'
'x,-y+1/2,z'
loop_
_atom_site_label
_atom_site_type_symbol
_atom_site_fract_x
_atom_site_fract_y
_atom_site_fract_z
Li1 Li 0.000 0.000 0.000
Zn1 Zn 0.139 0.250 0.290
S1 S 0.133 0.750 0.355
O1 O 0.036 0.250 0.539
O2 O 0.137 0.562 0.232
O3 O 0.204 0.250 0.972
F1 F 0.101 0.750 0.865
```

Most intense lines, 5° ≤ 2θ ≤ 70°, by angle:
d = 4.785 Å, I = 19
d = 3.685 Å, I = 21
d = 3.289 Å, I = 100
d = 3.145 Å, I = 47
d = 2.274 Å, I = 34
d = 2.042 Å, I = 15
d = 2.017 Å, I = 10
d = 1.644 Å, I = 10
d = 1.594 Å, I = 15
d = 1.519 Å, I = 9